(1)
Diffraction record for Li7Mn2Co3O12. The powder diffraction line list is simulated, not measured: it uses a structure optimized by DFT (GGA+U) and CuKα.
No peak broadening, texture or thermal motion is included.

Structural model:
Lattice parameters (Å, degrees): 2.960 5.059 14.598 81.32 85.18 88.43
Space group P1 (No. 1)
One atom of each set of equivalent atoms:
Li 0.000 0.000 0.000 x1
Li 0.067 0.412 0.843 x1
Li 0.140 0.826 0.687 x1
Li 0.316 0.667 0.342 x1
Li 0.491 0.484 0.002 x1
Li 0.640 0.331 0.686 x1
Li 0.819 0.160 0.345 x1
Mn 0.730 0.745 0.513 x1
Mn 0.904 0.576 0.175 x1
Co 0.229 0.245 0.513 x1
Co 0.404 0.077 0.174 x1
Co 0.567 0.911 0.844 x1
O 0.038 0.723 0.917 x1
O 0.095 0.101 0.770 x1
O 0.162 0.527 0.591 x1
O 0.303 0.964 0.434 x1
O 0.374 0.398 0.251 x1
O 0.432 0.750 0.101 x1
O 0.529 0.166 0.919 x1
O 0.606 0.657 0.770 x1
O 0.654 0.037 0.587 x1
O 0.810 0.456 0.437 x1
O 0.865 0.859 0.252 x1
O 0.940 0.294 0.098 x1

Principal peaks in the range 2θ = 15–90°, most intense first:
| two_theta | intensity |
| --- | --- |
| 18.5 | 100 |
| 42.4 | 32 |
| 44.0 | 28 |
| 44.3 | 27 |
| 35.1 | 17 |
| 62.7 | 16 |
| 36.2 | 13 |
| 36.2 | 12 |
| 62.8 | 8 |
| 63.3 | 8 |



(2)
Diffraction record for Li3MnCoO5. The powder diffraction line list is simulated, not measured: it uses a structure optimized by DFT (GGA+U) and CuKα.
No peak broadening, texture or thermal motion is included.

Structural model:
Lattice parameters (Å, degrees): 5.245 2.879 24.880 90.00 91.97 90.00
Space group Cm (No. 8)
One atom of each set of equivalent atoms:
Li 0.000 0.000 0.000 x2
Li 0.007 0.500 0.500 x2
Li 0.099 0.000 0.298 x2
Li 0.190 0.500 0.099 x2
Li 0.318 0.000 0.905 x2
Li 0.397 0.500 0.698 x2
Mn 0.103 0.500 0.797 x2
Mn 0.302 0.500 0.400 x2
Co 0.202 0.000 0.599 x2
Co 0.397 0.000 0.202 x2
O 0.029 0.500 0.644 x2
O 0.036 0.000 0.161 x2
O 0.153 0.500 0.948 x2
O 0.181 0.000 0.447 x2
O 0.232 0.000 0.751 x2
O 0.267 0.500 0.246 x2
O 0.351 0.000 0.053 x2
O 0.376 0.500 0.554 x2
O 0.426 0.000 0.354 x2
O 0.464 0.500 0.839 x2

Principal peaks in the range 2θ = 15–90°, most intense first:
| two_theta | intensity |
| --- | --- |
| 17.8 | 100 |
| 43.7 | 59 |
| 41.4 | 34 |
| 36.2 | 27 |
| 62.1 | 24 |
| 34.5 | 17 |
| 61.3 | 17 |
| 46.7 | 10 |
| 57.0 | 9 |
| 64.8 | 8 |



(3)
Diffraction record for Li7Mn2Co3O12. The powder diffraction line list is simulated, not measured: it uses a structure optimized by DFT (GGA+U) and CuKα.
No peak broadening, texture or thermal motion is included.

Structural model:
Lattice parameters (Å, degrees): 5.078 6.508 6.651 83.36 82.84 84.25
Space group P-1 (No. 2)
One atom of each set of equivalent atoms:
Li 0.000 0.000 0.000 x1
Li 0.239 0.920 0.588 x2
Li 0.243 0.593 0.921 x2
Li 0.245 0.242 0.246 x2
Mn 0.003 0.671 0.329 x2
Co 0.490 0.156 0.838 x2
Co 0.500 0.500 0.500 x1
O 0.122 0.614 0.608 x2
O 0.126 0.935 0.294 x2
O 0.130 0.298 0.928 x2
O 0.353 0.560 0.221 x2
O 0.355 0.230 0.549 x2
O 0.396 0.884 0.873 x2

Principal peaks in the range 2θ = 15–90°, most intense first:
| two_theta | intensity |
| --- | --- |
| 18.3 | 100 |
| 43.2 | 30 |
| 43.0 | 30 |
| 35.7 | 27 |
| 44.4 | 26 |
| 62.9 | 16 |
| 36.5 | 12 |
| 62.2 | 8 |
| 63.5 | 7 |
| 63.8 | 7 |



(4)
Diffraction record for Li5Mn2CoO8. The powder diffraction line list is simulated, not measured: it uses a structure optimized by DFT (GGA+U) and CuKα.
No peak broadening, texture or thermal motion is included.

Structural model:
Lattice parameters (Å, degrees): 10.174 5.897 4.988 90.00 109.08 90.00
Space group C2 (No. 5)
One atom of each set of equivalent atoms:
Li 0.000 0.000 0.000 x2
Li 0.249 0.002 0.496 x4
Li 0.250 0.247 0.998 x4
Mn 0.000 0.246 0.500 x2
Mn 0.000 0.498 0.000 x2
Co 0.000 0.765 0.500 x2
O 0.109 0.730 0.247 x4
O 0.112 0.266 0.252 x4
O 0.114 0.489 0.754 x4
O 0.116 0.016 0.721 x4

Principal peaks in the range 2θ = 15–90°, most intense first:
| two_theta | intensity |
| --- | --- |
| 18.5 | 100 |
| 43.6 | 62 |
| 44.1 | 30 |
| 35.9 | 27 |
| 17.6 | 17 |
| 63.3 | 16 |
| 64.3 | 16 |
| 23.6 | 16 |
| 36.6 | 11 |
| 18.8 | 11 |



(5)
Diffraction record for Li7Mn2Co3O12. The powder diffraction line list is simulated, not measured: it uses a structure optimized by DFT (GGA+U) and CuKα.
No peak broadening, texture or thermal motion is included.

Structural model:
Lattice parameters (Å, degrees): 2.934 7.700 10.167 72.30 89.58 79.19
Space group P-1 (No. 2)
One atom of each set of equivalent atoms:
Li 0.000 0.000 0.000 x1
Li 0.159 0.677 0.245 x2
Li 0.167 0.670 0.745 x2
Li 0.494 0.008 0.757 x2
Mn 0.333 0.325 0.996 x2
Co 0.000 0.000 0.500 x1
Co 0.334 0.333 0.499 x2
O 0.075 0.835 0.384 x2
O 0.103 0.808 0.890 x2
O 0.244 0.511 0.107 x2
O 0.255 0.504 0.614 x2
O 0.406 0.182 0.881 x2
O 0.417 0.166 0.383 x2

Principal peaks in the range 2θ = 15–90°, most intense first:
| two_theta | intensity |
| --- | --- |
| 18.3 | 100 |
| 43.1 | 30 |
| 43.5 | 29 |
| 44.2 | 27 |
| 35.8 | 14 |
| 36.0 | 13 |
| 36.3 | 12 |
| 63.4 | 8 |
| 62.4 | 8 |
| 63.2 | 8 |



(6)
Diffraction record for Li4MnCo2O7. The powder diffraction line list is simulated, not measured: it uses a structure optimized by DFT (GGA+U) and CuKα.
No peak broadening, texture or thermal motion is included.

Structural model:
Lattice parameters (Å, degrees): 12.881 2.920 14.426 90.00 111.87 90.00
Space group C2/m (No. 12)
One atom of each set of equivalent atoms:
Li 0.000 0.000 0.000 x2
Li 0.000 0.000 0.500 x2
Li 0.073 0.500 0.358 x4
Li 0.139 0.000 0.209 x4
Li 0.209 0.500 0.072 x4
Mn 0.067 0.500 0.861 x4
Co 0.144 0.000 0.715 x4
Co 0.214 0.500 0.571 x4
O 0.009 0.000 0.761 x4
O 0.061 0.500 0.112 x4
O 0.078 0.500 0.615 x4
O 0.136 0.000 0.952 x4
O 0.149 0.000 0.470 x4
O 0.202 0.500 0.816 x4
O 0.223 0.500 0.329 x4

Principal peaks in the range 2θ = 15–90°, most intense first:
| two_theta | intensity |
| --- | --- |
| 18.4 | 100 |
| 43.6 | 57 |
| 43.3 | 29 |
| 36.0 | 26 |
| 63.1 | 23 |
| 63.3 | 15 |
| 35.7 | 14 |
| 57.5 | 10 |
| 66.5 | 9 |
| 47.7 | 9 |



(7)
Diffraction record for Li4Mn3Co3O12. The powder diffraction line list is simulated, not measured: it uses a structure optimized by DFT (GGA+U) and CuKα.
No peak broadening, texture or thermal motion is included.

Structural model:
Lattice parameters (Å, degrees): 5.709 5.875 6.899 103.28 102.18 90.86
Space group P-1 (No. 2)
One atom of each set of equivalent atoms:
Li 0.000 0.000 0.000 x1
Li 0.187 0.642 0.640 x2
Li 0.500 0.000 0.000 x1
Mn 0.000 0.500 0.000 x1
Mn 0.329 0.835 0.334 x2
Co 0.167 0.167 0.661 x2
Co 0.500 0.500 0.000 x1
O 0.078 0.613 0.337 x2
O 0.079 0.052 0.337 x2
O 0.248 0.761 0.038 x2
O 0.251 0.280 0.988 x2
O 0.407 0.934 0.639 x2
O 0.425 0.392 0.696 x2

Principal peaks in the range 2θ = 15–90°, most intense first:
| two_theta | intensity |
| --- | --- |
| 18.0 | 100 |
| 41.4 | 23 |
| 43.9 | 19 |
| 44.6 | 18 |
| 34.7 | 13 |
| 36.3 | 12 |
| 36.9 | 11 |
| 47.0 | 7 |
| 54.5 | 6 |
| 62.2 | 6 |



(8)
Diffraction record for Li5MnCo2O8. The powder diffraction line list is simulated, not measured: it uses a structure optimized by DFT (GGA+U) and CuKα.
No peak broadening, texture or thermal motion is included.

Structural model:
Lattice parameters (Å, degrees): 9.982 5.785 5.047 90.00 108.14 90.00
Space group C2/m (No. 12)
One atom of each set of equivalent atoms:
Li 0.000 0.000 0.000 x2
Li 0.000 0.245 0.500 x4
Li 0.250 0.000 0.498 x4
Mn 0.000 0.500 0.000 x2
Co 0.250 0.250 0.000 x4
O 0.115 0.500 0.755 x4
O 0.125 0.263 0.218 x8
O 0.141 0.000 0.780 x4

Principal peaks in the range 2θ = 15–90°, most intense first:
| two_theta | intensity |
| --- | --- |
| 18.5 | 100 |
| 43.9 | 61 |
| 44.6 | 29 |
| 36.4 | 26 |
| 18.0 | 22 |
| 64.6 | 16 |
| 64.0 | 16 |
| 18.7 | 12 |
| 36.7 | 11 |
| 23.7 | 10 |



(9)
Diffraction record for Li4MnCo2O7. The powder diffraction line list is simulated, not measured: it uses a structure optimized by DFT (GGA+U) and CuKα.
No peak broadening, texture or thermal motion is included.

Structural model:
Lattice parameters (Å, degrees): 2.947 5.109 16.777 89.07 85.88 89.69
Space group P1 (No. 1)
One atom of each set of equivalent atoms:
Li 0.000 0.000 0.000 x1
Li 0.057 0.354 0.863 x1
Li 0.122 0.694 0.729 x1
Li 0.275 0.416 0.436 x1
Li 0.423 0.133 0.147 x1
Li 0.551 0.835 0.870 x1
Li 0.705 0.562 0.579 x1
Li 0.839 0.271 0.296 x1
Mn 0.606 0.206 0.725 x1
Mn 0.916 0.628 0.151 x1
Co 0.193 0.051 0.580 x1
Co 0.342 0.787 0.297 x1
Co 0.497 0.474 0.997 x1
Co 0.778 0.915 0.440 x1
O 0.022 0.664 0.942 x1
O 0.085 0.046 0.783 x1
O 0.140 0.343 0.653 x1
O 0.248 0.755 0.509 x1
O 0.312 0.083 0.365 x1
O 0.387 0.481 0.218 x1
O 0.441 0.777 0.090 x1
O 0.523 0.179 0.942 x1
O 0.591 0.502 0.785 x1
O 0.615 0.905 0.648 x1
O 0.780 0.216 0.508 x1
O 0.811 0.616 0.366 x1
O 0.876 0.928 0.223 x1
O 0.950 0.336 0.083 x1

Principal peaks in the range 2θ = 15–90°, most intense first:
| two_theta | intensity |
| --- | --- |
| 18.2 | 100 |
| 42.8 | 29 |
| 43.5 | 28 |
| 44.3 | 25 |
| 36.1 | 15 |
| 35.5 | 14 |
| 36.5 | 12 |
| 47.7 | 8 |
| 63.1 | 8 |
| 62.2 | 7 |



(10)
Diffraction record for Li7Mn4CoO12. The powder diffraction line list is simulated, not measured: it uses a structure optimized by DFT (GGA+U) and CuKα.
No peak broadening, texture or thermal motion is included.

Structural model:
Lattice parameters (Å, degrees): 5.181 6.477 6.511 82.92 83.65 83.80
Space group P-1 (No. 2)
One atom of each set of equivalent atoms:
Li 0.000 0.000 0.000 x1
Li 0.253 0.241 0.238 x2
Li 0.258 0.584 0.909 x2
Li 0.258 0.911 0.582 x2
Mn 0.000 0.330 0.670 x2
Mn 0.500 0.167 0.833 x2
Co 0.500 0.500 0.500 x1
O 0.143 0.607 0.606 x2
O 0.151 0.285 0.935 x2
O 0.151 0.936 0.284 x2
O 0.394 0.217 0.552 x2
O 0.394 0.550 0.218 x2
O 0.396 0.885 0.886 x2

Principal peaks in the range 2θ = 15–90°, most intense first:
| two_theta | intensity |
| --- | --- |
| 18.4 | 100 |
| 42.3 | 32 |
| 44.2 | 28 |
| 44.4 | 28 |
| 62.8 | 15 |
| 35.0 | 14 |
| 36.5 | 13 |
| 36.4 | 12 |
| 17.3 | 8 |
| 62.9 | 8 |